Structure and theoretical XRD peak list of RbAlPSe6 (DFT lattice parameters and positions (PBE); Cu Kα (λ = 1.5418 Å)).

Atomic structure:
```
RbAlPSe6
1.0
5.940 0.000 0.000
-2.970 5.144 0.000
0.000 0.000 8.757
Rb Al P Se
1 1 1 6
direct
0.000 0.000 0.000
0.333 0.667 0.500
0.667 0.333 0.500
0.344 0.010 0.670
0.344 0.334 0.330
0.666 0.010 0.330
0.666 0.656 0.670
0.990 0.334 0.670
0.990 0.656 0.330
```

Main lines, by angle (5° ≤ 2θ ≤ 70°):
- d 8.757, rel. 71, hkl 0 0 1
- d 4.436, rel. 32, hkl 1 0 1
- d 2.919, rel. 31, hkl 0 0 3
- d 2.813, rel. 100, hkl 1 1 1
- d 2.458, rel. 88, hkl 2 -1 2
- d 1.762, rel. 32, hkl 1 1 4
- d 1.715, rel. 28, hkl 3 0 0
- d 1.479, rel. 23, hkl 3 0 3